Computed powder X-ray diffraction pattern
Compound: BiPd12Pb3
Radiation: Cu Kα X-rays
Structure: a PBE-relaxed structure
Intensities are scaled so that the largest is 100.

Top 6 peaks for 2θ from 10° to 80°, in order of rising 2θ:
(hkl), two_theta, intensity
1 1 4, 37.9, 100
2 0 0, 44.0, 33
0 0 8, 44.1, 16
2 2 0, 64.0, 32
3 1 4, 76.8, 25
1 1 12, 76.9, 13

Cell and atoms:
```
data_BiPd12Pb3
_cell_length_a 4.119
_cell_length_b 4.119
_cell_length_c 16.434
_cell_angle_alpha 90.00
_cell_angle_beta 90.00
_cell_angle_gamma 90.00
_space_group_name_H-M_alt 'P 4/m m m'
_space_group_IT_number 123
_space_group_name_Hall '-P 4 2'
loop_
_atom_site_label
_atom_site_type_symbol
_atom_site_fract_x
_atom_site_fract_y
_atom_site_fract_z
Bi1 Bi 0.000 0.000 0.000
Pd1 Pd 0.000 0.500 0.126
Pd2 Pd 0.000 0.500 0.375
Pd3 Pd 0.500 0.500 0.000
Pd4 Pd 0.500 0.500 0.250
Pd5 Pd 0.500 0.500 0.500
Pb1 Pb 0.000 0.000 0.252
Pb2 Pb 0.000 0.000 0.500
```

Computed powder X-ray diffraction pattern
Compound: Ca4GeN
Radiation: Cu Kα X-rays
Structure: a PBE-relaxed structure
Intensities are scaled so that the largest is 100.

Top 6 peaks for 2θ from 10° to 80°, in order of rising 2θ:
(hkl), two_theta, intensity
2 0 -1, 16.2, 52
2 2 0, 28.7, 90
4 0 1, 30.5, 89
2 2 1, 33.2, 49
4 2 -1, 36.4, 78
0 2 2, 38.6, 100

Cell and atoms:
```
data_Ca4GeN
_cell_length_a 15.136
_cell_length_b 6.857
_cell_length_c 6.539
_cell_angle_alpha 90.00
_cell_angle_beta 102.67
_cell_angle_gamma 90.00
_space_group_name_H-M_alt 'C 1 2/m 1'
_space_group_IT_number 12
_space_group_name_Hall '-C 2y'
loop_
_atom_site_label
_atom_site_type_symbol
_atom_site_fract_x
_atom_site_fract_y
_atom_site_fract_z
Ca1 Ca 0.000 0.237 0.000
Ca2 Ca 0.121 0.233 0.500
Ca3 Ca 0.209 0.000 0.132
Ge1 Ge 0.212 0.500 0.249
N1 N 0.072 0.000 0.242
```

Computed powder X-ray diffraction pattern
Compound: Pr3NdAs4
Radiation: Cu Kα X-rays
Structure: a PBE-relaxed structure
Intensities are scaled so that the largest is 100.

Top 6 peaks for 2θ from 10° to 80°, in order of rising 2θ:
(hkl), two_theta, intensity
1 1 1, 25.4, 17
2 0 0, 29.4, 100
2 2 0, 42.0, 75
2 2 2, 52.1, 27
4 2 0, 69.1, 34
4 2 2, 76.8, 25

Cell and atoms:
```
data_Pr3NdAs4
_cell_length_a 6.078
_cell_length_b 6.078
_cell_length_c 6.078
_cell_angle_alpha 90.00
_cell_angle_beta 90.00
_cell_angle_gamma 90.00
_space_group_name_H-M_alt 'P m -3 m'
_space_group_IT_number 221
_space_group_name_Hall '-P 4 2 3'
loop_
_atom_site_label
_atom_site_type_symbol
_atom_site_fract_x
_atom_site_fract_y
_atom_site_fract_z
Pr1 Pr 0.000 0.000 0.500
Nd1 Nd 0.500 0.500 0.500
As1 As 0.000 0.000 0.000
As2 As 0.000 0.500 0.500
```

Computed powder X-ray diffraction pattern
Compound: SmDy3Zn8
Radiation: Cu Kα X-rays
Structure: a PBE-relaxed structure
Intensities are scaled so that the largest is 100.

Top 6 peaks for 2θ from 10° to 80°, in order of rising 2θ:
(hkl), two_theta, intensity
1 1 0, 32.2, 56
0 1 3, 36.3, 75
1 1 2, 38.4, 100
0 2 1, 38.8, 54
1 2 3, 60.0, 34
2 0 5, 66.4, 27

Cell and atoms:
```
data_SmDy3Zn8
_cell_length_a 5.5661
_cell_length_b 5.5661
_cell_length_c 8.6648
_cell_angle_alpha 90.00
_cell_angle_beta 90.00
_cell_angle_gamma 120.00
_space_group_name_H-M_alt 'P 3 m 1'
_space_group_IT_number 156
_space_group_name_Hall 'P 3 -2"'
loop_
_atom_site_label
_atom_site_type_symbol
_atom_site_fract_x
_atom_site_fract_y
_atom_site_fract_z
Sm1 Sm 0.0000 0.0000 0.0000
Dy1 Dy 0.0000 0.0000 0.3865
Dy2 Dy 0.6667 0.3333 0.5042
Dy3 Dy 0.6667 0.3333 0.8892
Zn1 Zn 0.1660 0.3320 0.6921
Zn2 Zn 0.3333 0.6667 0.4441
Zn3 Zn 0.3333 0.6667 0.9455
Zn4 Zn 0.5017 0.0033 0.1966
```

Computed powder X-ray diffraction pattern
Compound: LaPr2Dy2Y
Radiation: Cu Kα X-rays
Structure: a PBE-relaxed structure
Intensities are scaled so that the largest is 100.

Top 6 peaks for 2θ from 10° to 80°, in order of rising 2θ:
(hkl), two_theta, intensity
2 0 2, 30.8, 84
0 2 0, 31.1, 100
2 2 2, 44.3, 31
2 1 5, 55.1, 32
0 3 3, 55.3, 19
4 2 0, 61.1, 29

Cell and atoms:
```
data_LaPr2Dy2Y
_cell_length_a 7.140
_cell_length_b 5.756
_cell_length_c 9.964
_cell_angle_alpha 90.00
_cell_angle_beta 90.00
_cell_angle_gamma 90.00
_space_group_name_H-M_alt 'P m m a'
_space_group_IT_number 51
_space_group_name_Hall '-P 2a 2a'
loop_
_atom_site_label
_atom_site_type_symbol
_atom_site_fract_x
_atom_site_fract_y
_atom_site_fract_z
La1 La 0.250 0.000 0.157
Pr1 Pr 0.000 0.000 0.500
Pr2 Pr 0.250 0.500 0.675
Dy1 Dy 0.250 0.000 0.828
Dy2 Dy 0.250 0.500 0.336
Y1 Y 0.000 0.500 0.000
```

Computed powder X-ray diffraction pattern
Compound: Pm2Y5Ho2
Radiation: Cu Kα X-rays
Structure: a PBE-relaxed structure
Intensities are scaled so that the largest is 100.

Top 6 peaks for 2θ from 10° to 80°, in order of rising 2θ:
(hkl), two_theta, intensity
2 1 1, 30.6, 100
1 1 3, 35.5, 50
3 0 3, 51.1, 35
3 3 0, 60.7, 35
4 0 1, 60.8, 7
0 4 2, 63.7, 9

Cell and atoms:
```
data_Pm2Y5Ho2
_cell_length_a 6.189
_cell_length_b 6.201
_cell_length_c 7.998
_cell_angle_alpha 82.61
_cell_angle_beta 75.07
_cell_angle_gamma 80.45
_space_group_name_H-M_alt 'P -1'
_space_group_IT_number 2
_space_group_name_Hall '-P 1'
loop_
_atom_site_label
_atom_site_type_symbol
_atom_site_fract_x
_atom_site_fract_y
_atom_site_fract_z
Pm1 Pm 0.055 0.111 0.277
Y1 Y 0.277 0.556 0.389
Y2 Y 0.387 0.778 0.945
Y3 Y 0.500 0.000 0.500
Ho1 Ho 0.166 0.334 0.835
```

Computed powder X-ray diffraction pattern
Compound: Zr5Tl3Zn3
Radiation: Cu Kα X-rays
Structure: a PBE-relaxed structure
Intensities are scaled so that the largest is 100.

Top 6 peaks for 2θ from 10° to 80°, in order of rising 2θ:
(hkl), two_theta, intensity
1 1 0, 18.4, 36
3 0 0, 32.2, 69
1 1 1, 34.7, 100
3 1 0, 39.0, 53
2 1 1, 41.1, 29
2 2 1, 48.1, 39

Cell and atoms:
```
data_Zr5Tl3Zn3
_cell_length_a 9.6265
_cell_length_b 9.6265
_cell_length_c 3.0641
_cell_angle_alpha 90.00
_cell_angle_beta 90.00
_cell_angle_gamma 120.00
_space_group_name_H-M_alt 'P -6 2 m'
_space_group_IT_number 189
_space_group_name_Hall 'P -6 -2'
loop_
_atom_site_label
_atom_site_type_symbol
_atom_site_fract_x
_atom_site_fract_y
_atom_site_fract_z
Zr1 Zr 0.0000 0.3343 0.0000
Zr2 Zr 0.3333 0.6667 0.0000
Tl1 Tl 0.0000 0.6111 0.5000
Zn1 Zn 0.0000 0.8524 0.0000
```

Computed powder X-ray diffraction pattern
Compound: CaSbAs2
Radiation: Cu Kα X-rays
Structure: a PBE-relaxed structure
Intensities are scaled so that the largest is 100.

Top 6 peaks for 2θ from 10° to 80°, in order of rising 2θ:
(hkl), two_theta, intensity
0 0 2, 28.4, 44
1 1 0, 30.8, 100
1 0 2, 36.0, 23
1 1 2, 42.4, 58
2 0 0, 44.1, 36
2 0 2, 53.3, 29

Cell and atoms:
```
data_CaSbAs2
_cell_length_a 4.105
_cell_length_b 4.105
_cell_length_c 6.286
_cell_angle_alpha 90.00
_cell_angle_beta 90.00
_cell_angle_gamma 90.00
_space_group_name_H-M_alt 'P 4 m m'
_space_group_IT_number 99
_space_group_name_Hall 'P 4 -2'
loop_
_atom_site_label
_atom_site_type_symbol
_atom_site_fract_x
_atom_site_fract_y
_atom_site_fract_z
Ca1 Ca 0.000 0.000 0.000
Sb1 Sb 0.500 0.500 0.399
As1 As 0.000 0.000 0.500
As2 As 0.500 0.500 0.981
```

Computed powder X-ray diffraction pattern
Compound: KTcAgP
Radiation: Cu Kα X-rays
Structure: a PBE-relaxed structure
Intensities are scaled so that the largest is 100.

Top 6 peaks for 2θ from 10° to 80°, in order of rising 2θ:
(hkl), two_theta, intensity
0 0 2, 14.0, 100
0 0 4, 28.3, 31
1 1 2, 35.6, 83
1 1 4, 43.7, 30
2 0 0, 46.7, 24
1 1 6, 55.0, 25

Cell and atoms:
```
data_KTcAgP
_cell_length_a 3.888
_cell_length_b 3.888
_cell_length_c 12.615
_cell_angle_alpha 90.00
_cell_angle_beta 90.00
_cell_angle_gamma 90.00
_space_group_name_H-M_alt 'P 4/n m m'
_space_group_IT_number 129
loop_
_space_group_symop_operation_xyz
'x,y,z'
'-x,-y,-z'
'-y+1/2,x,z'
'y+1/2,-x,-z'
'-x+1/2,-y+1/2,z'
'x+1/2,y+1/2,-z'
'y,-x+1/2,z'
'-y,x+1/2,-z'
'x+1/2,-y,-z'
'-x+1/2,y,z'
'-y,-x,-z'
'y,x,z'
'-x,y+1/2,-z'
'x,-y+1/2,z'
'y+1/2,x+1/2,-z'
'-y+1/2,-x+1/2,z'
loop_
_atom_site_label
_atom_site_type_symbol
_atom_site_fract_x
_atom_site_fract_y
_atom_site_fract_z
K1 K 0.250 0.250 0.241
Tc1 Tc 0.250 0.750 0.500
Ag1 Ag 0.250 0.750 0.000
P1 P 0.250 0.250 0.613
```

Computed powder X-ray diffraction pattern
Compound: Tm2Al
Radiation: Cu Kα X-rays
Structure: a PBE-relaxed structure
Intensities are scaled so that the largest is 100.

Top 6 peaks for 2θ from 10° to 80°, in order of rising 2θ:
(hkl), two_theta, intensity
0 0 4, 27.1, 62
1 0 3, 33.3, 100
1 1 0, 37.5, 40
1 1 4, 46.8, 19
1 0 7, 55.8, 17
2 1 3, 65.0, 29

Cell and atoms:
```
data_Tm2Al
_cell_length_a 3.395
_cell_length_b 3.395
_cell_length_c 13.196
_cell_angle_alpha 90.00
_cell_angle_beta 90.00
_cell_angle_gamma 90.00
_space_group_name_H-M_alt 'I 4/m m m'
_space_group_IT_number 139
_space_group_name_Hall '-I 4 2'
loop_
_atom_site_label
_atom_site_type_symbol
_atom_site_fract_x
_atom_site_fract_y
_atom_site_fract_z
Tm1 Tm 0.000 0.000 0.150
Al1 Al 0.000 0.000 0.500
```

Computed powder X-ray diffraction pattern
Compound: ScZn22
Radiation: Cu Kα X-rays
Structure: a PBE-relaxed structure
Intensities are scaled so that the largest is 100.

Top 6 peaks for 2θ from 10° to 80°, in order of rising 2θ:
(hkl), two_theta, intensity
5 3 1, 37.6, 85
6 2 0, 40.3, 40
5 3 3, 41.8, 81
6 2 2, 42.3, 100
7 1 1, 45.8, 41
8 8 0, 76.0, 53

Cell and atoms:
a b c (Å): 14.160 14.160 14.160
angles (deg): 90.00 90.00 90.00
Space group Fd-3m (No. 227, origin choice 2)
Inequivalent atoms, fractional coordinates:
Sc  0.125  0.125  0.125 x8
Zn  0.000  0.000  0.000 x16
Zn  0.000  0.000  0.500 x16
Zn  0.014  0.375  0.875 x48
Zn  0.061  0.061  0.319 x96

Computed powder X-ray diffraction pattern
Compound: Tm3Ag4Hg2
Radiation: Cu Kα X-rays
Structure: a PBE-relaxed structure
Intensities are scaled so that the largest is 100.

Top 6 peaks for 2θ from 10° to 80°, in order of rising 2θ:
(hkl), two_theta, intensity
0 4 0, 32.3, 75
5 1 -1, 34.8, 63
1 1 -2, 35.1, 61
4 2 1, 37.5, 100
5 3 -1, 41.9, 37
1 3 -2, 42.2, 36

Cell and atoms:
```
data_Tm3Ag4Hg2
_cell_length_a 14.069
_cell_length_b 11.101
_cell_length_c 5.257
_cell_angle_alpha 90.00
_cell_angle_beta 100.63
_cell_angle_gamma 90.00
_space_group_name_H-M_alt 'C 1 2/c 1'
_space_group_IT_number 15
_space_group_name_Hall '-C 2yc'
loop_
_atom_site_label
_atom_site_type_symbol
_atom_site_fract_x
_atom_site_fract_y
_atom_site_fract_z
Tm1 Tm 0.000 0.131 0.250
Tm2 Tm 0.166 0.378 0.079
Ag1 Ag 0.055 0.382 0.523
Ag2 Ag 0.226 0.129 0.367
Hg1 Hg 0.114 0.127 0.809
```

Computed powder X-ray diffraction pattern
Compound: Hf4HCN2
Radiation: Cu Kα X-rays
Structure: a PBE-relaxed structure
Intensities are scaled so that the largest is 100.

Top 6 peaks for 2θ from 10° to 80°, in order of rising 2θ:
(hkl), two_theta, intensity
1 1 2, 34.0, 100
2 0 0, 39.4, 42
0 0 4, 39.5, 20
2 2 0, 57.0, 42
3 1 2, 67.9, 28
2 2 4, 71.5, 14

Cell and atoms:
```
data_Hf4HCN2
_cell_length_a 4.577
_cell_length_b 4.577
_cell_length_c 9.127
_cell_angle_alpha 90.00
_cell_angle_beta 90.00
_cell_angle_gamma 90.00
_space_group_name_H-M_alt 'I -4 m 2'
_space_group_IT_number 119
_space_group_name_Hall 'I -4 -2'
loop_
_atom_site_label
_atom_site_type_symbol
_atom_site_fract_x
_atom_site_fract_y
_atom_site_fract_z
Hf1 Hf 0.000 0.000 0.239
Hf2 Hf 0.000 0.500 0.000
H1 H 0.000 0.000 0.500
C1 C 0.000 0.500 0.750
N1 N 0.000 0.000 0.000
N2 N 0.000 0.500 0.250
```